No. 1
Simulated XRD peak list
Compound: LiFe2B2O6
Radiation: Cu Kα X-rays
Structure: a PBE+U-relaxed structure

Structural model:
```
data_LiFe2B2O6
_space_group_name_H-M_alt 'P 1'
_space_group_IT_number 1
_space_group_name_Hall 'P 1'
_cell_length_a 5.2659
_cell_length_b 9.0728
_cell_length_c 10.2196
_cell_angle_alpha 90.00
_cell_angle_beta 91.33
_cell_angle_gamma 90.00
loop_
_atom_site_label
_atom_site_type_symbol
_atom_site_fract_x
_atom_site_fract_y
_atom_site_fract_z
Li1 Li 0.0000 0.0043 0.0000
Li2 Li 0.0000 0.9957 0.5000
Li3 Li 0.2081 0.4862 0.2483
Li4 Li 0.2081 0.5138 0.7483
Fe1 Fe 0.0109 0.3427 0.5301
Fe2 Fe 0.0109 0.6573 0.0301
Fe3 Fe 0.1977 0.1521 0.2870
Fe4 Fe 0.1977 0.8479 0.7870
Fe5 Fe 0.5160 0.1744 0.0413
Fe6 Fe 0.5160 0.8256 0.5413
Fe7 Fe 0.6961 0.3244 0.7797
Fe8 Fe 0.6961 0.6756 0.2797
B1 B 0.0228 0.3207 0.0379
B2 B 0.0228 0.6793 0.5379
B3 B 0.1814 0.1802 0.7944
B4 B 0.1814 0.8198 0.2944
B5 B 0.5086 0.1549 0.5422
B6 B 0.5086 0.8451 0.0422
B7 B 0.7003 0.3451 0.2794
B8 B 0.7003 0.6549 0.7794
O1 O 0.0569 0.0493 0.8007
O2 O 0.0569 0.9507 0.3007
O3 O 0.0634 0.3110 0.7510
O4 O 0.0634 0.6890 0.2510
O5 O 0.1321 0.4528 0.0598
O6 O 0.1321 0.5472 0.5598
O7 O 0.1481 0.1871 0.0714
O8 O 0.1481 0.8129 0.5714
O9 O 0.2546 0.1637 0.5022
O10 O 0.2546 0.8363 0.0022
O11 O 0.4329 0.1924 0.8398
O12 O 0.4329 0.8076 0.3398
O13 O 0.5623 0.2225 0.2334
O14 O 0.5623 0.7775 0.7334
O15 O 0.5741 0.4781 0.2834
O16 O 0.5741 0.5219 0.7834
O17 O 0.6392 0.0224 0.5365
O18 O 0.6392 0.9776 0.0365
O19 O 0.6430 0.2780 0.5880
O20 O 0.6430 0.7220 0.0880
O21 O 0.7801 0.3064 0.9815
O22 O 0.7801 0.6936 0.4815
O23 O 0.9547 0.3336 0.3192
O24 O 0.9547 0.6664 0.8192
```

The 10 most intense peaks (2θ from 10° to 80°), by angle:
- 19.5°, I 81, hkl 0 2 0
- 21.5°, I 100, hkl 1 1 1
- 25.9°, I 48, hkl 1 1 -2
- 26.5°, I 33, hkl 1 1 2
- 34.2°, I 47, hkl 1 3 0
- 35.1°, I 67, hkl 0 0 4
- 40.4°, I 28, hkl 2 2 -1
- 40.8°, I 21, hkl 0 4 1
- 49.2°, I 20, hkl 1 1 5
- 61.0°, I 24, hkl 3 3 0

No. 2
Simulated XRD peak list
Compound: LiFe2B2O6
Radiation: Cu Kα X-rays
Structure: a PBE+U-relaxed structure

Structural model:
```
data_LiFe2B2O6
_space_group_name_H-M_alt 'P 1'
_space_group_IT_number 1
_space_group_name_Hall 'P 1'
_cell_length_a 5.2713
_cell_length_b 9.1255
_cell_length_c 10.1806
_cell_angle_alpha 89.57
_cell_angle_beta 89.22
_cell_angle_gamma 89.73
loop_
_atom_site_label
_atom_site_type_symbol
_atom_site_fract_x
_atom_site_fract_y
_atom_site_fract_z
Li1 Li 0.0000 0.0000 0.0000
Li2 Li 0.0065 0.9762 0.4977
Li3 Li 0.1944 0.4927 0.7934
Li4 Li 0.5110 0.4755 0.5100
Fe1 Fe 0.0111 0.3345 0.0388
Fe2 Fe 0.0118 0.6442 0.5383
Fe3 Fe 0.1967 0.8294 0.7819
Fe4 Fe 0.2020 0.1586 0.2836
Fe5 Fe 0.5107 0.8111 0.0328
Fe6 Fe 0.5153 0.1411 0.5362
Fe7 Fe 0.6904 0.3136 0.7885
Fe8 Fe 0.6968 0.6575 0.2894
B1 B 0.0192 0.3163 0.5394
B2 B 0.0198 0.6641 0.0328
B3 B 0.1893 0.1637 0.7904
B4 B 0.1910 0.8192 0.2889
B5 B 0.5110 0.8186 0.5330
B6 B 0.5135 0.1422 0.0331
B7 B 0.6956 0.6427 0.7906
B8 B 0.6983 0.3211 0.2919
O1 O 0.0434 0.7023 0.3319
O2 O 0.0563 0.2941 0.8201
O3 O 0.0819 0.0319 0.8137
O4 O 0.1068 0.9591 0.3076
O5 O 0.1253 0.5344 0.0025
O6 O 0.1268 0.1866 0.4886
O7 O 0.1418 0.7981 0.0035
O8 O 0.1588 0.4420 0.5502
O9 O 0.2558 0.8220 0.5722
O10 O 0.2626 0.1551 0.0814
O11 O 0.4277 0.7912 0.2323
O12 O 0.4322 0.1778 0.7384
O13 O 0.5494 0.2005 0.3248
O14 O 0.5618 0.7620 0.8416
O15 O 0.5669 0.5113 0.7787
O16 O 0.6074 0.4584 0.3161
O17 O 0.6180 0.6841 0.4909
O18 O 0.6330 0.0081 0.0331
O19 O 0.6427 0.2644 0.9843
O20 O 0.6568 0.9410 0.5339
O21 O 0.7650 0.3135 0.5814
O22 O 0.7780 0.6752 0.0921
O23 O 0.9399 0.2999 0.2403
O24 O 0.9460 0.6549 0.7491
```

The 10 most intense peaks (2θ from 10° to 80°), by angle:
- 19.5°, I 100, hkl 0 2 0
- 21.3°, I 27, hkl 0 2 1
- 21.4°, I 91, hkl -1 1 1
- 26.0°, I 27, hkl 1 1 2
- 26.1°, I 31, hkl 1 -1 2
- 34.0°, I 53, hkl 1 3 0
- 34.1°, I 25, hkl 1 -3 0
- 35.3°, I 76, hkl 0 0 4
- 38.2°, I 25, hkl 2 0 2
- 40.5°, I 36, hkl 2 -2 1

No. 3
Simulated XRD peak list
Compound: LiFe2B2O6
Radiation: Cu Kα X-rays
Structure: a PBE+U-relaxed structure

Structural model:
```
data_LiFe2B2O6
_space_group_name_H-M_alt 'P 1'
_space_group_IT_number 1
_space_group_name_Hall 'P 1'
_cell_length_a 5.3132
_cell_length_b 9.0750
_cell_length_c 11.3431
_cell_angle_alpha 66.47
_cell_angle_beta 77.62
_cell_angle_gamma 89.83
loop_
_atom_site_label
_atom_site_type_symbol
_atom_site_fract_x
_atom_site_fract_y
_atom_site_fract_z
Li1 Li 0.0000 0.0000 0.0000
Li2 Li 0.0706 0.3823 0.2588
Li3 Li 0.2598 0.2411 0.5144
Li4 Li 0.7547 0.7439 0.5141
Fe1 Fe 0.0505 0.7016 0.2885
Fe2 Fe 0.2526 0.8847 0.5409
Fe3 Fe 0.3054 0.2773 0.7852
Fe4 Fe 0.4920 0.8060 0.0406
Fe5 Fe 0.5551 0.1839 0.2834
Fe6 Fe 0.7496 0.3880 0.5388
Fe7 Fe 0.7999 0.7762 0.7840
Fe8 Fe 0.9949 0.3276 0.0335
B1 B 0.0403 0.0308 0.2953
B2 B 0.2493 0.5586 0.5401
B3 B 0.2875 0.9354 0.7930
B4 B 0.4934 0.1368 0.0408
B5 B 0.5529 0.5150 0.2843
B6 B 0.7544 0.0628 0.5364
B7 B 0.7996 0.4392 0.7849
B8 B 0.9989 0.6582 0.0405
O1 O 0.0154 0.5780 0.5010
O2 O 0.0217 0.3918 0.8318
O3 O 0.0908 0.5127 0.0687
O4 O 0.1099 0.7788 0.0682
O5 O 0.1668 0.8417 0.7468
O6 O 0.1868 0.0725 0.7975
O7 O 0.2650 0.1708 0.9960
O8 O 0.2726 0.0245 0.3339
O9 O 0.3391 0.4013 0.5823
O10 O 0.3939 0.6848 0.5361
O11 O 0.4141 0.3737 0.3027
O12 O 0.4410 0.6589 0.2319
O13 O 0.5105 0.8866 0.8389
O14 O 0.5216 0.0830 0.4946
O15 O 0.5986 0.2359 0.0891
O16 O 0.6195 0.0050 0.0369
O17 O 0.6692 0.3348 0.7506
O18 O 0.7137 0.5843 0.7721
O19 O 0.7840 0.6982 0.9845
O20 O 0.7852 0.5080 0.3222
O21 O 0.8366 0.9064 0.5826
O22 O 0.8999 0.1909 0.5299
O23 O 0.9132 0.8953 0.3050
O24 O 0.9336 0.1805 0.2540
```

The 10 most intense peaks (2θ from 10° to 80°), by angle:
- 19.4°, I 29, hkl 1 1 1
- 19.6°, I 51, hkl 0 2 1
- 21.4°, I 100, hkl 1 -1 1
- 26.0°, I 46, hkl -1 1 2
- 26.5°, I 36, hkl 1 -1 2
- 33.7°, I 20, hkl 2 0 1
- 34.1°, I 47, hkl 1 3 2
- 35.5°, I 66, hkl 0 0 4
- 40.8°, I 19, hkl 0 4 1
- 49.6°, I 24, hkl 1 -1 5

No. 4
Simulated XRD peak list
Compound: LiFe2B2O6
Radiation: Cu Kα X-rays
Structure: a PBE+U-relaxed structure

Structural model:
```
data_LiFe2B2O6
_space_group_name_H-M_alt 'P 1'
_space_group_IT_number 1
_space_group_name_Hall 'P 1'
_cell_length_a 5.2470
_cell_length_b 9.1456
_cell_length_c 11.3637
_cell_angle_alpha 67.11
_cell_angle_beta 76.92
_cell_angle_gamma 89.99
loop_
_atom_site_label
_atom_site_type_symbol
_atom_site_fract_x
_atom_site_fract_y
_atom_site_fract_z
Li1 Li 0.0000 0.0000 0.0000
Li2 Li 0.0404 0.0225 0.2694
Li3 Li 0.2635 0.2848 0.7617
Li4 Li 0.5455 0.5259 0.2606
Fe1 Fe 0.0109 0.6730 0.9772
Fe2 Fe 0.0651 0.3748 0.2310
Fe3 Fe 0.2584 0.6032 0.4783
Fe4 Fe 0.2791 0.9635 0.7320
Fe5 Fe 0.5010 0.1904 0.9889
Fe6 Fe 0.5573 0.8800 0.2312
Fe7 Fe 0.7563 0.0997 0.4874
Fe8 Fe 0.7924 0.4714 0.7340
B1 B 0.0029 0.3490 0.9758
B2 B 0.0527 0.7183 0.2247
B3 B 0.2617 0.9322 0.4786
B4 B 0.2994 0.6288 0.7336
B5 B 0.5144 0.8470 0.9821
B6 B 0.5483 0.2123 0.2384
B7 B 0.7657 0.4322 0.4788
B8 B 0.7907 0.1450 0.7310
O1 O 0.0158 0.9624 0.4602
O2 O 0.0392 0.1299 0.7504
O3 O 0.0867 0.4507 0.0260
O4 O 0.1333 0.2191 0.9720
O5 O 0.1456 0.7252 0.7824
O6 O 0.1808 0.5280 0.6865
O7 O 0.2648 0.8555 0.9519
O8 O 0.2762 0.6823 0.2767
O9 O 0.3879 0.8150 0.4432
O10 O 0.3921 0.0178 0.5277
O11 O 0.4340 0.1064 0.1982
O12 O 0.4361 0.3469 0.2359
O13 O 0.5210 0.4672 0.4591
O14 O 0.5574 0.6236 0.7293
O15 O 0.6031 0.9623 0.0198
O16 O 0.6352 0.2577 0.7636
O17 O 0.6630 0.7259 0.9793
O18 O 0.6773 0.0523 0.6809
O19 O 0.7811 0.3788 0.9255
O20 O 0.7835 0.1767 0.2799
O21 O 0.8907 0.3189 0.4411
O22 O 0.8943 0.5162 0.5323
O23 O 0.9439 0.6098 0.1864
O24 O 0.9458 0.8604 0.2114
```

The 10 most intense peaks (2θ from 10° to 80°), by angle:
- 19.5°, I 100, hkl 1 -1 0
- 21.4°, I 30, hkl 1 -1 1
- 21.5°, I 93, hkl 1 1 2
- 26.0°, I 28, hkl 0 2 -1
- 26.1°, I 31, hkl 1 1 -1
- 26.5°, I 39, hkl 1 1 3
- 34.0°, I 55, hkl -1 3 1
- 34.2°, I 27, hkl 2 0 1
- 35.4°, I 82, hkl 0 0 4
- 49.4°, I 29, hkl 1 1 6